IrRu2: calculated PXRD pattern (Cu Kα), based on a GGA-PBE-relaxed structure.
Neutral-atom scattering factors, no anomalous dispersion.

Most intense lines, 2θ from 10° to 90°, in order of rising 2θ:
| d_spacing | 2θ/deg | intensity |
| --- | --- | --- |
| 3.698 | 24.06 | 89 |
| 3.564 | 24.98 | 41 |
| 2.375 | 37.88 | 246 |
| 2.163 | 41.76 | 249 |
| 2.082 | 43.47 | 1000 |
| 1.599 | 57.64 | 144 |
| 1.371 | 68.42 | 172 |
| 1.233 | 77.43 | 181 |
| 1.158 | 83.47 | 201 |
| 1.145 | 84.63 | 146 |

Cell lengths 7.2591, 7.2591, 4.3257 Å; angles 90.00, 90.00, 158.23 degrees
Sites, in units of the cell vectors:
1 Ir 0.1113 0.8887 0.7500
2 Ir 0.8887 0.1113 0.2500
3 Ru 0.2219 0.7781 0.2500
4 Ru 0.4437 0.5563 0.7500
5 Ru 0.5563 0.4437 0.2500
6 Ru 0.7781 0.2219 0.7500